Diffraction record for KBaSb2. The XRD peak list is computed, not measured: it uses a cell relaxed with GGA-PBE and Cu Kα (λ = 1.5418 Å).

The 10 most intense peaks (2θ from 5° to 70°), most intense first:
(hkl)	2θ (°)	d_spacing	I_rel
1 0 2	29.68	3.010	100
1 1 0	33.99	2.637	35
2 1 2	58.19	1.585	28
1 1 4	49.75	1.833	24
0 0 1	8.68	10.193	21
0 0 4	35.21	2.549	19
1 0 6	59.82	1.546	13
2 0 0	48.83	1.865	12
2 0 4	61.63	1.505	12
1 0 1	25.43	3.503	6

Structure:
```
KBaSb2
1.0
3.730 0.000 0.000
0.000 3.730 0.000
0.000 0.000 10.193
K Ba Sb
1 1 2
Cartesian
0.000 0.000 0.000
0.000 0.000 5.096
1.865 1.865 2.588
1.865 1.865 7.605
```


Diffraction record for K2Tl3F8. The XRD peak list is computed, not measured: it uses a cell relaxed with GGA-PBE and Cu Kα (λ = 1.5418 Å).

The 10 most intense peaks (2θ from 5° to 70°), most intense first:
(hkl)	2θ (°)	d_spacing	I_rel
1 0 -1	13.48	6.569	100
1 1 -2	30.01	2.978	48
1 0 2	25.17	3.538	36
1 1 1	29.41	3.037	33
0 1 1	24.86	3.582	28
0 0 3	27.02	3.299	28
3 1 -1	45.07	2.012	22
2 1 0	35.31	2.542	21
2 1 -3	39.70	2.271	20
0 1 4	43.50	2.081	17

Structure:
```
K2Tl3F8
1.0
7.100 0.000 0.000
0.000 3.842 0.000
-3.042 0.000 9.898
K Tl F
2 3 8
Cartesian
1.129 0.000 1.974
2.929 0.000 7.925
-1.521 0.000 4.949
-0.665 1.921 8.353
4.723 1.921 1.546
-0.605 1.921 3.093
-1.774 0.000 9.072
0.189 0.000 7.120
2.532 1.921 0.879
1.525 1.921 9.019
3.868 0.000 2.778
5.832 0.000 0.826
4.662 1.921 6.805
```


Diffraction record for BeInSiP. The XRD peak list is computed, not measured: it uses a cell relaxed with GGA-PBE and Cu Kα (λ = 1.5418 Å).

The 10 most intense peaks (2θ from 5° to 70°), most intense first:
(hkl)	2θ (°)	d_spacing	I_rel
1 0 1	28.80	3.100	100
0 1 1	29.76	3.002	71
0 0 1	12.93	6.847	54
1 1 1	39.66	2.272	50
1 1 -2	46.07	1.970	50
0 0 2	26.03	3.424	41
0 1 0	26.68	3.341	29
1 0 2	36.85	2.439	28
1 1 0	37.33	2.409	26
0 1 2	37.62	2.391	22

Structure:
```
BeInSiP
1.0
3.477 0.000 0.000
0.000 3.341 0.000
-0.007 0.000 6.847
Be In Si P
1 1 1 1
Cartesian
0.000 0.000 0.000
0.003 1.670 2.731
1.739 1.670 0.344
1.732 0.000 5.553
```